Computed powder diffractogram of NaRe3S5 for λ = 1.5418 Å (Cu Kα), from a cell relaxed with PBE.
No peak broadening, texture or thermal motion is included.

Peak list (12 most intense, 15 to 90 degrees two-theta, sorted by position)
Position (°2θ)  I/Imax  hkl
18.39  41.2  1 0 0
22.50  38.9  1 0 1
25.85  35.7  0 0 2
37.28  55.0  2 0 0
39.21  18.0  0 0 3
39.59  100.0  2 0 1
41.70  17.8  1 1 2
45.92  93.3  2 0 2
55.21  36.9  2 0 3
66.71  20.5  2 0 4
67.23  17.7  2 2 0
68.78  19.4  2 2 1

Crystal structure
```
NaRe3S5
1.0
5.570 0.000 0.000
-2.785 4.824 0.000
0.000 0.000 6.893
Na Re S
1 3 5
Direct
0.000 0.000 0.000 Na
0.000 0.500 0.500 Re
0.500 0.000 0.500 Re
0.500 0.500 0.500 Re
0.000 0.000 0.500 S
0.333 0.667 0.243 S
0.333 0.667 0.757 S
0.667 0.333 0.243 S
0.667 0.333 0.757 S
```